Structure and theoretical X-ray diffraction stick pattern of GdGa8Fe4 (the PBE geometry in the Materials Project; Cu Kα X-rays).

Crystal structure
a = 8.6729 Å, b = 8.6729 Å, c = 5.0853 Å
α = 90.00°, β = 90.00°, γ = 90.00°
Space group I4/mmm (No. 139)
Asymmetric unit:
Gd (0.0000, 0.0000, 0.0000) x2
Ga (0.0000, 0.2189, 0.5000) x8
Ga (0.0000, 0.3407, 0.0000) x8
Fe (0.2500, 0.2500, 0.2500) x8

Largest 8 diffraction maxima, by angle, 10° ≤ 2θ ≤ 80°:
| two_theta | I/Imax | hkl |
| --- | --- | --- |
| 35.30 | 24 | 0 0 2 |
| 35.73 | 53 | 3 0 1 |
| 41.15 | 58 | 2 0 2 |
| 41.53 | 100 | 3 2 1 |
| 41.65 | 57 | 4 0 0 |
| 46.39 | 38 | 2 2 2 |
| 67.61 | 23 | 3 2 3 |
| 75.94 | 26 | 6 3 1 |